Simulated powder X-ray diffraction pattern
Compound: Ho2Er4Sc5
Radiation: Cu Ka
Structure: a cell relaxed with GGA-PBE
Kinematic intensities with the Lorentz-polarization factor, no thermal factor.

Top 10 peaks for 2θ = 15–90°, in order of rising 2θ:
hkl  2theta  d_spacing  I (rel.)
0 0 2  21.41  4.150  16
6 0 0  23.62  3.766  17
1 1 -1  28.96  3.083  21
1 1 1  29.14  3.065  51
8 0 -1  32.90  2.722  100
6 0 2  33.01  2.713  46
5 1 1  35.43  2.533  62
3 1 -2  36.08  2.489  61
3 1 4  53.98  1.699  27
8 2 -1  65.51  1.425  39

Atomic structure:
Cell lengths 22.6342, 3.3458, 8.3126 Å; angles 90.00, 93.25, 90.00 degrees
Space group C2/m (No. 12)
One atom of each set of equivalent atoms:
Ho  0.0879  0.0000  0.1960 (multiplicity 4)
Er  0.0445  0.5000  0.8381 (multiplicity 4)
Er  0.2271  0.0000  0.3241 (multiplicity 4)
Sc  0.0000  0.0000  0.5000 (multiplicity 2)
Sc  0.1290  0.5000  0.5382 (multiplicity 4)
Sc  0.1877  0.5000  0.9770 (multiplicity 4)


Simulated powder X-ray diffraction pattern
Compound: CaGaH4
Radiation: Cu Ka
Structure: a cell relaxed with GGA-PBE
Kinematic intensities with the Lorentz-polarization factor, no thermal factor.

Top 10 peaks for 2θ = 15–90°, in order of rising 2θ:
hkl  2theta  d_spacing  I (rel.)
1 0 -1  19.92  4.457  33
0 1 1  26.79  3.328  89
1 1 0  27.91  3.196  100
1 0 -2  30.90  2.893  33
1 1 1  32.80  2.731  32
2 0 0  32.98  2.716  37
1 0 2  35.81  2.507  43
0 1 2  36.99  2.430  35
1 1 -2  38.56  2.335  29
1 2 -1  50.47  1.808  46

Atomic structure:
Cell lengths 5.5073, 3.9538, 6.2480 Å; angles 90.00, 99.54, 90.00 degrees
Space group P2_1 (No. 4)
One atom of each set of equivalent atoms:
Ca  0.2233  0.0000  0.3485 (multiplicity 2)
Ga  0.3171  0.2374  0.8204 (multiplicity 2)
H  0.0604  0.0359  0.6562 (multiplicity 2)
H  0.1317  0.4939  0.9250 (multiplicity 2)
H  0.3538  0.4767  0.5432 (multiplicity 2)
H  0.4032  0.9756  0.0451 (multiplicity 2)


Simulated powder X-ray diffraction pattern
Compound: Mg2TiSb2
Radiation: Cu Ka
Structure: a cell relaxed with GGA-PBE
Kinematic intensities with the Lorentz-polarization factor, no thermal factor.

Top 10 peaks for 2θ = 15–90°, in order of rising 2θ:
hkl  2theta  d_spacing  I (rel.)
0 0 1  20.97  4.237  47
2 1 0  27.01  3.301  38
2 1 1  34.44  2.604  100
3 1 0  38.57  2.334  30
0 0 2  42.68  2.118  15
3 1 1  44.30  2.045  21
2 1 2  51.24  1.783  13
4 1 1  55.73  1.649  17
3 1 2  58.87  1.569  16
5 2 1  72.47  1.304  16

Atomic structure:
Cell lengths 7.3816, 7.3816, 4.2370 Å; angles 90.00, 90.00, 90.00 degrees
Space group P4/mbm (No. 127)
One atom of each set of equivalent atoms:
Mg  0.1559  0.3441  0.0000 (multiplicity 4)
Ti  0.0000  0.0000  0.5000 (multiplicity 2)
Sb  0.1565  0.6565  0.5000 (multiplicity 4)